Simulated X-ray diffraction stick pattern of ErTmZn4 for λ = 1.5418 Å (Cu Kα), from a crystal structure in Alexandria, relaxed with PBE.
Neutral-atom scattering factors, no anomalous dispersion.

The 8 most intense peaks (2θ from 10° to 90°), sorted by position:
hkl  two_theta  d/Å  I (rel.)
0 0 2  23.0  3.862  23
1 2 1  35.0  2.561  100
2 0 0  40.3  2.235  19
1 0 3  40.5  2.227  38
2 2 2  54.5  1.683  19
0 2 4  54.7  1.679  9
1 4 3  69.3  1.357  15
3 2 1  69.9  1.345  9

Crystal structure
a = 4.4706 Å, b = 6.8415 Å, c = 7.7059 Å
α = 90.00°, β = 90.00°, γ = 90.00°
Fractional positions:
Er1 0.0000 0.0000 0.0000
Er2 0.5000 0.5000 0.5000
Tm1 0.0000 0.5000 0.0000
Tm2 0.5000 0.0000 0.5000
Zn1 0.0000 0.2497 0.3334
Zn2 0.0000 0.2497 0.6666
Zn3 0.0000 0.7503 0.3334
Zn4 0.0000 0.7503 0.6666
Zn5 0.5000 0.2503 0.1666
Zn6 0.5000 0.2503 0.8334
Zn7 0.5000 0.7497 0.1666
Zn8 0.5000 0.7497 0.8334